No. 1
Structure and simulated powder diffractogram of Ba3NF2 (a cell relaxed with PBE; Cu Ka).

Cell lengths 6.9890, 6.9890, 7.0619 Å; angles 99.52, 99.52, 119.97 degrees
Sites, in units of the cell vectors:
Ba 0.0760 0.4225 0.7670
Ba 0.2293 0.2293 0.2358
Ba 0.4225 0.0760 0.7670
Ba 0.5775 0.9240 0.2330
Ba 0.7707 0.7707 0.7642
Ba 0.9240 0.5775 0.2330
N 0.1660 0.8340 0.0000
N 0.8340 0.1660 0.0000
F 0.0000 0.0000 0.5000
F 0.3211 0.6789 0.5000
F 0.5000 0.5000 0.0000
F 0.6789 0.3211 0.5000

The 8 most intense peaks (2θ = 15–90°), in order of rising 2θ:
two_theta, Rel. int.
26.75, 28.0
27.03, 83.3
31.23, 100.0
44.57, 34.3
44.92, 34.7
53.06, 24.9
55.72, 17.4
74.26, 14.0

No. 2
Structure and simulated powder diffractogram of Ba8N4F3 (a cell relaxed with PBE; Cu Ka).

Cell lengths 8.1861, 8.1861, 8.0848 Å; angles 119.39, 119.39, 90.98 degrees
Sites, in units of the cell vectors:
Ba 0.2149 0.2149 0.4636
Ba 0.2379 0.7621 0.0000
Ba 0.2425 0.7575 0.5000
Ba 0.2459 0.2459 0.9958
Ba 0.7541 0.7541 0.0042
Ba 0.7575 0.2425 0.5000
Ba 0.7621 0.2379 0.0000
Ba 0.7851 0.7851 0.5364
N 0.0000 0.0000 0.0000
N 0.0000 0.0000 0.5000
N 0.0000 0.5000 0.0000
N 0.5000 0.0000 0.0000
F 0.0000 0.5000 0.5000
F 0.5000 0.0000 0.5000
F 0.5000 0.5000 0.5000

The 8 most intense peaks (2θ = 15–90°), in order of rising 2θ:
two_theta, Rel. int.
26.57, 96.8
26.83, 100.0
30.63, 55.0
30.98, 52.4
31.17, 51.9
44.15, 53.8
44.27, 37.0
55.28, 19.6

No. 3
Structure and simulated powder diffractogram of Ba5OsN4F2 (a cell relaxed with PBE; Cu Ka).

Cell lengths 7.7381, 6.2289, 6.2289 Å; angles 116.65, 90.00, 90.00 degrees
Sites, in units of the cell vectors:
Ba 0.0000 0.0000 0.0000
Ba 0.2717 0.3049 0.6515
Ba 0.2717 0.6515 0.3049
Ba 0.7283 0.3049 0.6515
Ba 0.7283 0.6515 0.3049
Os 0.5000 0.9759 0.9759
N 0.3225 0.1890 0.1890
N 0.5000 0.6745 0.9668
N 0.5000 0.9668 0.6745
N 0.6775 0.1890 0.1890
F 0.0000 0.5268 0.9899
F 0.0000 0.9899 0.5268

The 8 most intense peaks (2θ = 15–90°), in order of rising 2θ:
two_theta, Rel. int.
27.26, 47.9
28.09, 95.0
28.56, 42.8
28.71, 100.0
39.90, 50.9
49.09, 23.0
51.06, 24.8
55.98, 26.1

No. 4
Structure and simulated powder diffractogram of BaPaN2F (a cell relaxed with PBE; Cu Ka).

Cell lengths 4.3901, 4.3901, 4.8476 Å; angles 90.00, 90.00, 90.00 degrees
Sites, in units of the cell vectors:
Ba 0.0000 0.0000 0.0000
Pa 0.5000 0.5000 0.4219
N 0.0000 0.5000 0.3588
N 0.5000 0.0000 0.3588
F 0.5000 0.5000 0.9156

The 8 most intense peaks (2θ = 15–90°), in order of rising 2θ:
two_theta, Rel. int.
20.23, 12.4
27.41, 100.0
28.76, 50.4
37.09, 12.9
41.12, 25.8
47.60, 22.3
50.13, 39.5
56.57, 15.0